Entry 1:
Diffraction record for CeHfO4. The X-ray diffraction stick pattern is theoretical, not measured: it uses a crystal structure in the Materials Project, relaxed with GGA-PBE and CuKα.
Intensities are scaled so that the largest is 100.

The 12 most intense peaks (10° ≤ 2θ ≤ 90°), low angle first:
(hkl)	2θ/deg	intensity
1 1 2	28.89	100
0 0 4	32.96	12
2 0 0	33.74	21
2 0 4	47.89	33
2 2 0	48.47	16
1 1 6	56.39	15
3 1 2	57.41	29
2 2 4	59.86	10
1 3 6	77.49	12
3 3 2	78.37	6
2 0 8	79.18	5
2 2 8	88.90	5

Structural model:
```
data_CeHfO4
_chemical_formula_sum 'Ce4 Hf4 O16'
_space_group_name_H-M_alt 'I 41/a'
_space_group_IT_number 88
_cell_length_a 5.312
_cell_length_b 5.312
_cell_length_c 10.870
_cell_angle_alpha 90.00
_cell_angle_beta 90.00
_cell_angle_gamma 90.00
loop_
_space_group_symop_operation_xyz
'x,y,z'
'-x,-y,-z'
'-y+3/4,x+1/4,z+1/4'
'y+3/4,-x+1/4,-z+1/4'
'-x+1/2,-y,z+1/2'
'x+1/2,y,-z+1/2'
'y+3/4,-x+3/4,z+3/4'
'-y+3/4,x+3/4,-z+3/4'
'x+1/2,y+1/2,z+1/2'
'-x+1/2,-y+1/2,-z+1/2'
'-y+1/4,x+3/4,z+3/4'
'y+1/4,-x+3/4,-z+3/4'
'-x,-y+1/2,z'
'x,y+1/2,-z'
'y+1/4,-x+1/4,z+1/4'
'-y+1/4,x+1/4,-z+1/4'
loop_
_atom_site_label
_atom_site_type_symbol
_atom_site_fract_x
_atom_site_fract_y
_atom_site_fract_z
Ce1 Ce 0.000 0.250 0.125
Hf1 Hf 0.000 0.250 0.625
O1 O 0.210 0.005 0.726
```

Entry 2:
Diffraction record for CeHfO4. The X-ray diffraction stick pattern is theoretical, not measured: it uses a crystal structure in the Materials Project, relaxed with GGA-PBE and CuKα.
Intensities are scaled so that the largest is 100.

The 12 most intense peaks (10° ≤ 2θ ≤ 90°), low angle first:
(hkl)	2θ/deg	intensity
0 2 1	27.70	100
2 2 -1	29.77	90
0 4 0	32.45	17
2 0 0	33.09	24
2 0 -2	34.40	19
0 0 2	45.75	18
2 4 0	47.02	23
2 4 -2	48.01	23
4 0 -2	51.10	13
2 2 1	54.65	16
2 2 -3	56.43	14
4 2 -1	58.25	12

Structural model:
```
data_CeHfO4
_chemical_formula_sum 'Ce4 Hf4 O16'
_space_group_name_H-M_alt 'C 1 2/c 1'
_space_group_IT_number 15
_cell_length_a 7.155
_cell_length_b 11.038
_cell_length_c 5.242
_cell_angle_alpha 90.00
_cell_angle_beta 130.82
_cell_angle_gamma 90.00
loop_
_space_group_symop_operation_xyz
'x,y,z'
'-x,-y,-z'
'-x,y,-z+1/2'
'x,-y,z+1/2'
'x+1/2,y+1/2,z'
'-x+1/2,-y+1/2,-z'
'-x+1/2,y+1/2,-z+1/2'
'x+1/2,-y+1/2,z+1/2'
loop_
_atom_site_label
_atom_site_type_symbol
_atom_site_fract_x
_atom_site_fract_y
_atom_site_fract_z
Ce1 Ce 0.000 0.136 0.250
Hf1 Hf 0.000 0.404 0.750
O1 O 0.168 0.283 0.663
O2 O 0.242 0.475 0.233
```

Entry 3:
Diffraction record for CeHfO4. The X-ray diffraction stick pattern is theoretical, not measured: it uses a crystal structure in the Materials Project, relaxed with GGA-PBE and CuKα.
Intensities are scaled so that the largest is 100.

The 12 most intense peaks (10° ≤ 2θ ≤ 90°), low angle first:
(hkl)	2θ/deg	intensity
0 1 1	14.53	2
1 0 3	28.03	1
2 0 2	29.31	100
0 0 4	33.97	32
4 0 0	48.80	51
4 2 2	57.95	44
4 0 4	60.79	9
4 4 0	71.49	8
4 2 6	79.07	15
6 0 2	79.16	3
2 2 8	81.55	10
6 2 0	81.64	2

Structural model:
```
data_CeHfO4
_chemical_formula_sum 'Ce8 Hf8 O32'
_space_group_name_H-M_alt 'P m n 21'
_space_group_IT_number 31
_cell_length_a 7.458
_cell_length_b 7.471
_cell_length_c 10.558
_cell_angle_alpha 90.00
_cell_angle_beta 90.00
_cell_angle_gamma 90.00
loop_
_space_group_symop_operation_xyz
'x,y,z'
'-x+1/2,-y,z+1/2'
'-x,y,z'
'x+1/2,-y,z+1/2'
loop_
_atom_site_label
_atom_site_type_symbol
_atom_site_fract_x
_atom_site_fract_y
_atom_site_fract_z
Ce1 Ce 0.000 0.001 0.000
Ce2 Ce 0.000 0.501 0.000
Ce3 Ce 0.250 0.249 0.750
Hf1 Hf 0.000 0.012 0.493
Hf2 Hf 0.000 0.504 0.501
Hf3 Hf 0.247 0.749 0.748
O1 O 0.000 0.247 0.377
O2 O 0.000 0.248 0.137
O3 O 0.000 0.250 0.875
O4 O 0.000 0.255 0.614
O5 O 0.000 0.738 0.630
O6 O 0.000 0.749 0.866
O7 O 0.000 0.752 0.126
O8 O 0.000 0.755 0.389
O9 O 0.236 0.490 0.373
O10 O 0.236 0.988 0.623
O11 O 0.242 0.509 0.623
O12 O 0.243 0.013 0.373
```

Entry 4:
Diffraction record for Ce2HfS5. The X-ray diffraction stick pattern is theoretical, not measured: it uses a crystal structure in the Materials Project, relaxed with GGA-PBE and CuKα.
Intensities are scaled so that the largest is 100.

The 12 most intense peaks (10° ≤ 2θ ≤ 90°), low angle first:
(hkl)	2θ/deg	intensity
0 0 2	24.31	37
1 2 1	26.32	90
3 0 1	26.49	100
2 2 0	27.02	54
1 2 2	33.89	68
3 2 1	34.64	22
2 2 2	36.66	55
4 2 0	38.70	36
0 4 0	44.70	34
2 2 3	46.25	32
5 2 1	47.51	36
3 4 1	52.71	31

Structural model:
```
data_Ce2HfS5
_chemical_formula_sum 'Ce8 Hf4 S20'
_space_group_name_H-M_alt 'P n m a'
_space_group_IT_number 62
_cell_length_a 11.365
_cell_length_b 8.109
_cell_length_c 7.323
_cell_angle_alpha 90.00
_cell_angle_beta 90.00
_cell_angle_gamma 90.00
loop_
_space_group_symop_operation_xyz
'x,y,z'
'-x,-y,-z'
'-x+1/2,-y,z+1/2'
'x+1/2,y,-z+1/2'
'x+1/2,-y+1/2,-z+1/2'
'-x+1/2,y+1/2,z+1/2'
'-x,y+1/2,-z'
'x,-y+1/2,z'
loop_
_atom_site_label
_atom_site_type_symbol
_atom_site_fract_x
_atom_site_fract_y
_atom_site_fract_z
Ce1 Ce 0.171 0.001 0.060
Hf1 Hf 0.009 0.250 0.572
S1 S 0.005 0.250 0.943
S2 S 0.074 0.536 0.679
S3 S 0.194 0.250 0.359
S4 S 0.209 0.750 0.340
```

Entry 5:
Diffraction record for Ce2HfSe5. The X-ray diffraction stick pattern is theoretical, not measured: it uses a crystal structure in the Materials Project, relaxed with GGA-PBE and CuKα.
Intensities are scaled so that the largest is 100.

The 12 most intense peaks (10° ≤ 2θ ≤ 90°), low angle first:
(hkl)	2θ/deg	intensity
3 0 1	25.14	97
2 2 0	25.81	28
4 0 1	32.08	50
1 2 2	32.32	100
3 2 1	32.99	49
0 3 1	33.86	28
2 2 2	34.90	92
4 2 0	36.80	51
2 1 3	39.64	30
0 4 0	42.81	53
2 2 3	43.91	26
5 2 1	45.09	45

Structural model:
```
data_Ce2HfSe5
_chemical_formula_sum 'Ce8 Hf4 Se20'
_space_group_name_H-M_alt 'P n m a'
_space_group_IT_number 62
_cell_length_a 11.971
_cell_length_b 8.450
_cell_length_c 7.708
_cell_angle_alpha 90.00
_cell_angle_beta 90.00
_cell_angle_gamma 90.00
loop_
_space_group_symop_operation_xyz
'x,y,z'
'-x,-y,-z'
'-x+1/2,-y,z+1/2'
'x+1/2,y,-z+1/2'
'x+1/2,-y+1/2,-z+1/2'
'-x+1/2,y+1/2,z+1/2'
'-x,y+1/2,-z'
'x,-y+1/2,z'
loop_
_atom_site_label
_atom_site_type_symbol
_atom_site_fract_x
_atom_site_fract_y
_atom_site_fract_z
Ce1 Ce 0.174 0.001 0.052
Hf1 Hf 0.009 0.750 0.575
Se1 Se 0.006 0.750 0.945
Se2 Se 0.077 0.038 0.676
Se3 Se 0.190 0.750 0.353
Se4 Se 0.209 0.250 0.335
```

What did the fifth record say?
Diffraction record for Ce2HfSe5. The X-ray diffraction stick pattern is theoretical, not measured: it uses a crystal structure in the Materials Project, relaxed with GGA-PBE and CuKα.
Intensities are scaled so that the largest is 100.

The 12 most intense peaks (10° ≤ 2θ ≤ 90°), low angle first:
(hkl)	2θ/deg	intensity
3 0 1	25.14	97
2 2 0	25.81	28
4 0 1	32.08	50
1 2 2	32.32	100
3 2 1	32.99	49
0 3 1	33.86	28
2 2 2	34.90	92
4 2 0	36.80	51
2 1 3	39.64	30
0 4 0	42.81	53
2 2 3	43.91	26
5 2 1	45.09	45

Structural model:
```
data_Ce2HfSe5
_chemical_formula_sum 'Ce8 Hf4 Se20'
_space_group_name_H-M_alt 'P n m a'
_space_group_IT_number 62
_cell_length_a 11.971
_cell_length_b 8.450
_cell_length_c 7.708
_cell_angle_alpha 90.00
_cell_angle_beta 90.00
_cell_angle_gamma 90.00
loop_
_space_group_symop_operation_xyz
'x,y,z'
'-x,-y,-z'
'-x+1/2,-y,z+1/2'
'x+1/2,y,-z+1/2'
'x+1/2,-y+1/2,-z+1/2'
'-x+1/2,y+1/2,z+1/2'
'-x,y+1/2,-z'
'x,-y+1/2,z'
loop_
_atom_site_label
_atom_site_type_symbol
_atom_site_fract_x
_atom_site_fract_y
_atom_site_fract_z
Ce1 Ce 0.174 0.001 0.052
Hf1 Hf 0.009 0.750 0.575
Se1 Se 0.006 0.750 0.945
Se2 Se 0.077 0.038 0.676
Se3 Se 0.190 0.750 0.353
Se4 Se 0.209 0.250 0.335
```